Calculated powder diffraction line list
Compound: La3Ge2Ir7
Radiation: Cu Kα, 1.54184 Å
Structure: a PBE-relaxed structure

Atomic structure:
Cell: 5.6093 5.6093 24.7452 Å, 90.00 90.00 120.00°
Space group R-3m (No. 166, hexagonal axes)
Symmetry-distinct sites (fractional):
La: 0.0000 0.0000 0.0000
La: 0.0000 0.0000 0.1411
Ge: 0.0000 0.0000 0.3344
Ir: 0.0000 0.0000 0.5000
Ir: 0.0008 0.5004 0.9210

Most intense lines, 2θ = 10–90°, low angle first:
2θ/deg  d (Å)  Rel. int.  hkl
18.6  4.767  25.0  1 0 1
34.4  2.609  34.2  0 1 8
37.2  2.417  60.4  0 2 1
37.7  2.383  35.7  2 0 2
38.8  2.319  100.0  1 1 6
41.4  2.180  49.6  2 0 5
43.9  2.062  24.8  0 0 12
45.3  2.002  28.2  0 2 7
61.5  1.507  26.1  3 0 6
66.7  1.402  36.1  2 2 0